For Li2MnP2O7, a DFT-relaxed cell (PBE+U, the Materials Project) gives the computed powder X-ray diffraction pattern in this record (CuKα).
Kinematic intensities with the Lorentz-polarization factor, no thermal factor.

Crystal structure
Cell: 7.7451 7.7451 8.0089 Å, 115.05 115.05 42.93°
Positions (direct):
Li (0.0741, 0.3791, 0.3074)
Li (0.3791, 0.0741, 0.8074)
Li (0.6209, 0.9259, 0.1926)
Li (0.9259, 0.6209, 0.6926)
Mn (0.0000, 0.0000, 0.0000)
Mn (0.0000, 0.0000, 0.5000)
P (0.2475, 0.5237, 0.1425)
P (0.4763, 0.7525, 0.3575)
P (0.5237, 0.2475, 0.6425)
P (0.7525, 0.4763, 0.8575)
O (0.0611, 0.6930, 0.2820)
O (0.1180, 0.6527, 0.9731)
O (0.2483, 0.3643, 0.5865)
O (0.3070, 0.9389, 0.2180)
O (0.3473, 0.8820, 0.5269)
O (0.3643, 0.2483, 0.0865)
O (0.4905, 0.5095, 0.2500)
O (0.5095, 0.4905, 0.7500)
O (0.6357, 0.7517, 0.9135)
O (0.6527, 0.1180, 0.4731)
O (0.6930, 0.0611, 0.7820)
O (0.7517, 0.6357, 0.4135)
O (0.8820, 0.3473, 0.0269)
O (0.9389, 0.3070, 0.7180)

Peak list (6 most intense, 5° ≤ 2θ ≤ 70°, low angle first)
| two_theta | Rel. int. |
| --- | --- |
| 13.80 | 39.4 |
| 19.23 | 72.8 |
| 26.09 | 38.5 |
| 27.64 | 100.0 |
| 28.90 | 71.4 |
| 42.54 | 38.6 |